V2Cd3O8: simulated powder diffraction line list (Cu Kα, 1.54184 Å), based on the PBE+U geometry in Alexandria.
Kinematic intensities with the Lorentz-polarization factor, no thermal factor.

Largest 8 diffraction maxima, in order of rising 2θ, 2θ from 10° to 90°:
2θ/deg, intensity, h k l
12.62, 27, 1 0 0
17.69, 31, 0 0 2
18.50, 43, 0 1 1
31.12, 71, 2 0 2
31.38, 96, 0 1 3
31.60, 100, 2 1 1
32.80, 42, 0 2 0
45.84, 43, 2 2 2

Atomic structure:
Cell lengths 7.0169, 5.4615, 10.0249 Å; angles 90.00, 90.00, 90.00 degrees
Fractional positions:
V  0.0000  0.2276  0.0000
V  0.0000  0.7724  0.5000
V  0.5000  0.2487  0.3558
V  0.5000  0.7513  0.8558
Cd  0.2415  0.2618  0.6807
Cd  0.2415  0.7382  0.1807
Cd  0.5000  0.2466  0.0311
Cd  0.5000  0.7534  0.5311
Cd  0.7585  0.2618  0.6807
Cd  0.7585  0.7382  0.1807
O  0.0000  0.2140  0.8260
O  0.0000  0.4739  0.5569
O  0.0000  0.5261  0.0569
O  0.0000  0.7860  0.3260
O  0.2102  0.0799  0.0540
O  0.2102  0.9201  0.5540
O  0.3094  0.3792  0.2814
O  0.3094  0.6208  0.7814
O  0.5000  0.0746  0.8156
O  0.5000  0.3421  0.5324
O  0.5000  0.6579  0.0324
O  0.5000  0.9254  0.3156
O  0.6906  0.3792  0.2814
O  0.6906  0.6208  0.7814
O  0.7898  0.0799  0.0540
O  0.7898  0.9201  0.5540